Structure and computed X-ray diffraction stick pattern of CaHgCl3 (a GGA-PBE-relaxed structure; Cu Kα (weighted mean of Kα1 and Kα2)).
Lines closer than 0.1° are merged.

Structure:
Cell: 5.3551 5.3551 5.3551 Å, 90.00 90.00 90.00°
Element x y z (fractional)
Ca  0.0000  0.0000  0.0000
Hg  0.5000  0.5000  0.5000
Cl  0.0000  0.0000  0.5000
Cl  0.0000  0.5000  0.0000
Cl  0.5000  0.0000  0.0000

Peak list (12 most intense, 15° ≤ 2θ ≤ 90°, sorted by position)
2θ/deg, Rel. int.
16.55, 34
23.49, 100
28.88, 69
33.47, 60
37.56, 22
41.30, 48
48.06, 42
54.16, 22
57.04, 29
65.18, 25
80.15, 18
89.70, 14



Structure and computed X-ray diffraction stick pattern of Mn4CrIn (a GGA-PBE-relaxed structure; Cu Kα (weighted mean of Kα1 and Kα2)).
Lines closer than 0.1° are merged.

Structure:
Cell: 4.8093 4.8093 4.8093 Å, 60.00 60.00 60.00°
Element x y z (fractional)
Mn  0.1247  0.1247  0.1247
Mn  0.1247  0.1247  0.6259
Mn  0.1247  0.6259  0.1247
Mn  0.6259  0.1247  0.1247
Cr  0.5000  0.5000  0.5000
In  0.7500  0.7500  0.7500

Peak list (12 most intense, 15° ≤ 2θ ≤ 90°, sorted by position)
2θ/deg, Rel. int.
22.64, 7
26.21, 7
37.40, 43
44.16, 100
46.24, 28
59.22, 2
60.92, 3
67.46, 14
72.17, 28
79.76, 21
84.22, 1
85.70, 2